Simulated XRD peak list of V4GeSe8 for Cu Kα (λ = 1.5418 Å), from a cell relaxed with GGA-PBE.

Largest 10 diffraction maxima, sorted by position, 15 to 90 degrees two-theta:
28.90 deg, rel. 24, hkl 3 1 1; 30.21 deg, rel. 80, hkl 2 2 2; 35.03 deg, rel. 100, hkl 4 0 0; 43.26 deg, rel. 30, hkl 4 2 2; 46.03 deg, rel. 24, hkl 5 1 1; 50.38 deg, rel. 90, hkl 4 4 0; 59.87 deg, rel. 36, hkl 6 2 2; 62.83 deg, rel. 17, hkl 4 4 4; 79.34 deg, rel. 19, hkl 8 2 2; 84.59 deg, rel. 17, hkl 8 4 0

Atomic structure:
Cell: 10.247 10.247 10.247 Å, 90.00 90.00 90.00°
Space group F-43m (No. 216)
Symmetry-distinct sites (fractional):
V  0.102  0.102  0.398 [16 per cell]
Ge  0.000  0.000  0.000 [4 per cell]
Se  0.131  0.131  0.631 [16 per cell]
Se  0.139  0.139  0.139 [16 per cell]